(1)
Structure and calculated powder diffractogram of Nd6Mn23 (a DFT-relaxed cell (PBE, the Materials Project); Cu Kα).
No peak broadening, texture or thermal motion is included.

Structure:
a = 8.600 Å, b = 8.600 Å, c = 8.600 Å
α = 60.00°, β = 60.00°, γ = 60.00°
Sites, in units of the cell vectors:
Nd 0.204 0.204 0.796
Nd 0.204 0.796 0.204
Nd 0.204 0.796 0.796
Nd 0.796 0.204 0.204
Nd 0.796 0.204 0.796
Nd 0.796 0.796 0.204
Mn 0.000 0.000 0.500
Mn 0.000 0.500 0.000
Mn 0.000 0.500 0.500
Mn 0.139 0.620 0.620
Mn 0.180 0.180 0.180
Mn 0.180 0.180 0.459
Mn 0.180 0.459 0.180
Mn 0.380 0.380 0.380
Mn 0.380 0.380 0.861
Mn 0.380 0.861 0.380
Mn 0.459 0.180 0.180
Mn 0.500 0.000 0.000
Mn 0.500 0.000 0.500
Mn 0.500 0.500 0.000
Mn 0.500 0.500 0.500
Mn 0.541 0.820 0.820
Mn 0.620 0.139 0.620
Mn 0.620 0.620 0.139
Mn 0.620 0.620 0.620
Mn 0.820 0.541 0.820
Mn 0.820 0.820 0.541
Mn 0.820 0.820 0.820
Mn 0.861 0.380 0.380

Main lines, most intense first (2θ from 15° to 90°):
2θ/deg  I_rel
38.5  100
42.0  95
36.2  33
32.1  30
65.1  28
25.4  26
62.5  25
29.4  21
53.8  18
81.9  17

=====

(2)
Structure and calculated powder diffractogram of CsK3 (a DFT-relaxed cell (PBE, the Materials Project); Cu Kα).
No peak broadening, texture or thermal motion is included.

Structure:
a = 6.937 Å, b = 6.937 Å, c = 6.937 Å
α = 90.00°, β = 90.00°, γ = 90.00°
Sites, in units of the cell vectors:
Cs 0.000 0.000 0.000
K 0.000 0.500 0.500
K 0.500 0.000 0.500
K 0.500 0.500 0.000

Main lines, most intense first (2θ from 15° to 90°):
2θ/deg  I_rel
22.2  100
25.7  52
43.3  47
36.6  39
18.1  28
58.0  19
28.8  18
59.6  17
31.6  15
45.3  14

=====

(3)
Structure and calculated powder diffractogram of LiHSO4 (a DFT-relaxed cell (PBE, the Materials Project); Cu Kα).
No peak broadening, texture or thermal motion is included.

Structure:
a = 5.341 Å, b = 7.374 Å, c = 8.560 Å
α = 90.00°, β = 90.15°, γ = 90.00°
Sites, in units of the cell vectors:
Li 0.012 0.196 0.003
Li 0.012 0.304 0.503
Li 0.988 0.696 0.497
Li 0.988 0.804 0.997
H 0.371 0.612 0.276
H 0.371 0.888 0.776
H 0.629 0.112 0.224
H 0.629 0.388 0.724
S 0.278 0.519 0.785
S 0.278 0.981 0.285
S 0.722 0.019 0.715
S 0.722 0.481 0.215
O 0.169 0.508 0.626
O 0.169 0.992 0.126
O 0.197 0.126 0.387
O 0.197 0.374 0.887
O 0.241 0.701 0.852
O 0.241 0.799 0.352
O 0.429 0.008 0.732
O 0.429 0.492 0.232
O 0.571 0.508 0.768
O 0.571 0.992 0.268
O 0.759 0.201 0.648
O 0.759 0.299 0.148
O 0.803 0.626 0.113
O 0.803 0.874 0.613
O 0.831 0.008 0.874
O 0.831 0.492 0.374

Main lines, most intense first (2θ from 15° to 90°):
2θ/deg  I_rel
23.0  100
20.8  33
26.7  25
24.1  25
32.0  19
33.6  12
54.1  9
36.3  6
33.7  5
37.3  5